# Li3Co3SbO8
Calculated XRD peak list, Cu Kα X-rays. Input: the GGA+U geometry in Alexandria.
No peak broadening, texture or thermal motion is included.

```
Li3Co3SbO8
1.0
6.020 0.000 0.000
2.983 5.250 0.000
3.003 -1.576 9.949
Li Co Sb O
6 6 2 16
Direct
0.002 0.254 0.250 Li
0.467 0.771 0.762 Li
0.476 0.768 0.260 Li
0.524 0.232 0.740 Li
0.533 0.229 0.238 Li
0.998 0.746 0.750 Li
0.000 0.000 0.000 Co
0.000 0.000 0.500 Co
0.000 0.500 0.000 Co
0.000 0.500 0.500 Co
0.500 0.000 0.500 Co
0.500 0.500 0.000 Co
0.500 0.000 0.000 Sb
0.500 0.500 0.500 Sb
0.235 0.656 0.397 O
0.240 0.115 0.894 O
0.241 0.651 0.904 O
0.247 0.110 0.403 O
0.258 0.397 0.621 O
0.268 0.895 0.126 O
0.288 0.359 0.107 O
0.302 0.850 0.613 O
0.698 0.150 0.387 O
0.712 0.641 0.893 O
0.732 0.105 0.874 O
0.742 0.603 0.379 O
0.753 0.890 0.597 O
0.759 0.349 0.096 O
0.760 0.885 0.106 O
0.765 0.344 0.603 O
```

Principal peaks in the range 2θ from 10° to 80°, low angle first:
Position (°2θ)	intensity	index
17.83	100	0 0 2
18.00	8	0 1 -1
34.59	16	0 2 0
34.87	17	2 0 2
35.00	13	2 2 0
36.11	6	0 0 4
36.46	12	2 2 2
41.73	19	0 2 2
42.43	37	2 0 4
55.92	10	2 2 -4